[1]
Simulated powder X-ray diffraction pattern
Compound: Pb3C6N6O8
Radiation: CuKα
Structure: a GGA-PBE-relaxed structure
Intensities are scaled so that the largest is 100.

Largest 10 diffraction maxima, low angle first, 10 to 90 degrees two-theta:
12.75 deg, I = 69, (2 0 0); 14.11 deg, I = 24, (1 1 0); 20.90 deg, I = 61, (3 1 -1); 26.43 deg, I = 100, (1 1 -3); 28.45 deg, I = 21, (2 2 0); 31.57 deg, I = 49, (5 1 -1); 32.22 deg, I = 17, (1 1 3); 34.20 deg, I = 17, (4 2 -1); 45.31 deg, I = 30, (4 0 -6); 45.96 deg, I = 18, (4 2 2)

Cell and atoms:
abc: 16.033 7.035 11.997
angles: 90.00 120.02 90.00
Space group Cc (No. 9)
Asymmetric unit:
Pb1 0.000 0.176 0.000 (multiplicity 4)
Pb2 0.352 0.312 0.773 (multiplicity 4)
Pb3 0.421 0.265 0.136 (multiplicity 4)
C1 0.069 0.483 0.827 (multiplicity 4)
C2 0.113 0.044 0.337 (multiplicity 4)
C3 0.158 0.353 0.737 (multiplicity 4)
C4 0.192 0.125 0.034 (multiplicity 4)
C5 0.233 0.484 0.436 (multiplicity 4)
C6 0.280 0.011 0.441 (multiplicity 4)
N1 0.071 0.387 0.728 (multiplicity 4)
N2 0.110 0.054 0.932 (multiplicity 4)
N3 0.148 0.447 0.428 (multiplicity 4)
N4 0.198 0.084 0.345 (multiplicity 4)
N5 0.239 0.423 0.841 (multiplicity 4)
N6 0.279 0.089 0.042 (multiplicity 4)
O1 0.033 0.090 0.236 (multiplicity 4)
O2 0.168 0.257 0.655 (multiplicity 4)
O3 0.185 0.226 0.116 (multiplicity 4)
O4 0.313 0.439 0.540 (multiplicity 4)
O5 0.361 0.017 0.446 (multiplicity 4)
O6 0.399 0.381 0.285 (multiplicity 4)
O7 0.450 0.374 0.991 (multiplicity 4)
O8 0.485 0.012 0.318 (multiplicity 4)



[2]
Simulated powder X-ray diffraction pattern
Compound: Fe2AgS3
Radiation: CuKα
Structure: a GGA-PBE-relaxed structure
Intensities are scaled so that the largest is 100.

Largest 10 diffraction maxima, low angle first, 10 to 90 degrees two-theta:
21.44 deg, I = 100, (2 0 2); 27.74 deg, I = 28, (0 2 0); 29.16 deg, I = 55, (3 1 1); 32.24 deg, I = 57, (1 1 4); 33.12 deg, I = 28, (2 2 1); 35.94 deg, I = 23, (4 0 2); 38.71 deg, I = 34, (2 2 3); 49.95 deg, I = 39, (3 3 1); 50.46 deg, I = 23, (6 0 0); 51.62 deg, I = 48, (3 1 6)

Cell and atoms:
abc: 10.852 6.434 12.840
angles: 90.00 90.00 90.00
Space group Cmce (No. 64)
Asymmetric unit:
Fe1 0.168 0.165 0.059 (multiplicity 16)
Ag1 0.000 0.149 0.295 (multiplicity 8)
S1 0.000 0.201 0.615 (multiplicity 8)
S2 0.178 0.154 0.892 (multiplicity 16)